No. 1
# LaTmSe2S
Theoretical PXRD pattern, Cu Kα X-rays. Input: the GGA-PBE geometry in Alexandria.
Lines closer than 0.1° are merged.

Principal peaks in the range 2θ = 10–80°, low angle first:
2theta  d (Å)  Rel. int.
24.27  3.667  95
29.91  2.987  100
30.40  2.941  17
38.85  2.318  55
42.66  2.120  39
42.81  2.112  50
48.02  1.895  16
49.82  1.830  37
62.03  1.496  26
62.15  1.493  16
70.49  1.336  19
75.76  1.255  15

Structure:
Lattice parameters (Å, degrees): 4.2243 4.2243 14.7030 90.00 90.00 90.00
Atoms (fractional coordinates):
La: 0.2500 0.2500 0.1262
La: 0.7500 0.7500 0.8738
Tm: 0.2500 0.2500 0.6048
Tm: 0.7500 0.7500 0.3952
Se: 0.2500 0.2500 0.4074
Se: 0.2500 0.2500 0.7863
Se: 0.7500 0.7500 0.2137
Se: 0.7500 0.7500 0.5926
S: 0.2500 0.7500 0.0000
S: 0.7500 0.2500 0.0000

***

No. 2
# La2Y2Se2S3
Theoretical PXRD pattern, Cu Kα X-rays. Input: the GGA-PBE geometry in Alexandria.
Lines closer than 0.1° are merged.

Principal peaks in the range 2θ = 10–80°, low angle first:
2theta  d (Å)  Rel. int.
22.83  3.895  8
23.23  3.829  12
23.74  3.748  9
25.93  3.437  25
32.80  2.731  16
33.12  2.705  100
47.53  1.913  52
52.73  1.736  8
59.15  1.562  8
69.45  1.353  16
69.63  1.350  8
79.10  1.211  16

Structure:
Lattice parameters (Å, degrees): 8.6800 8.6800 8.6800 143.65 143.65 52.36
Atoms (fractional coordinates):
La: 0.1990 0.1990 0.0000
La: 0.8010 0.8010 0.0000
Y: 0.0000 0.5000 0.5000
Y: 0.5000 0.0000 0.5000
Se: 0.3988 0.3988 0.0000
Se: 0.6012 0.6012 0.0000
S: 0.0000 0.0000 0.0000
S: 0.2500 0.7500 0.5000
S: 0.7500 0.2500 0.5000

***

No. 3
# LaSi2S6
Theoretical PXRD pattern, Cu Kα X-rays. Input: the GGA-PBE geometry in Alexandria.
Lines closer than 0.1° are merged.

Principal peaks in the range 2θ = 10–80°, low angle first:
2theta  d (Å)  Rel. int.
10.81  8.187  69
16.27  5.449  64
19.93  4.455  100
23.55  3.777  80
23.87  3.728  66
24.22  3.675  36
28.72  3.109  59
32.84  2.727  67
33.41  2.682  33
34.95  2.567  57
35.42  2.534  41
37.23  2.415  34

Structure:
Lattice parameters (Å, degrees): 8.4039 8.4039 6.3673 102.81 102.81 84.76
Atoms (fractional coordinates):
La: 0.1590 0.8410 0.7500
La: 0.8410 0.1590 0.2500
Si: 0.2288 0.3596 0.7822
Si: 0.3596 0.2288 0.2822
Si: 0.6404 0.7712 0.7178
Si: 0.7712 0.6404 0.2178
S: 0.0600 0.1741 0.6709
S: 0.1349 0.5718 0.9738
S: 0.1741 0.0600 0.1709
S: 0.2812 0.4464 0.5089
S: 0.4282 0.8651 0.5262
S: 0.4464 0.2812 0.0089
S: 0.5536 0.7188 0.9911
S: 0.5718 0.1349 0.4738
S: 0.7188 0.5536 0.4911
S: 0.8259 0.9400 0.8291
S: 0.8651 0.4282 0.0262
S: 0.9400 0.8259 0.3291